Structure and computed XRD peak list of Ho3GaNi3 (a DFT-relaxed cell (GGA-PBE, Alexandria); Cu Kα X-rays).

The 6 most intense peaks (2θ from 10° to 80°), in order of falling intensity:
36.3°, rel. 100
35.1°, rel. 98
40.9°, rel. 97
31.3°, rel. 95
32.9°, rel. 72
44.1°, rel. 63

Atomic structure:
```
data_Ho3GaNi3
_space_group_name_H-M_alt 'P 1'
_space_group_IT_number 1
_space_group_name_Hall 'P 1'
_cell_length_a 5.3238
_cell_length_b 5.3238
_cell_length_c 13.0696
_cell_angle_alpha 90.00
_cell_angle_beta 90.00
_cell_angle_gamma 134.67
loop_
_atom_site_label
_atom_site_type_symbol
_atom_site_fract_x
_atom_site_fract_y
_atom_site_fract_z
Ho1 Ho 0.0057 0.9943 0.7500
Ho2 Ho 0.2886 0.7114 0.6038
Ho3 Ho 0.2886 0.7114 0.8962
Ho4 Ho 0.7114 0.2886 0.1038
Ho5 Ho 0.7114 0.2886 0.3962
Ho6 Ho 0.9943 0.0057 0.2500
Ga1 Ga 0.0000 0.0000 0.0000
Ga2 Ga 0.0000 0.0000 0.5000
Ni1 Ni 0.2888 0.7112 0.2500
Ni2 Ni 0.4215 0.5785 0.0902
Ni3 Ni 0.4215 0.5785 0.4098
Ni4 Ni 0.5785 0.4215 0.5902
Ni5 Ni 0.5785 0.4215 0.9098
Ni6 Ni 0.7112 0.2888 0.7500
```